# 1
The following is a simulated powder diffraction line list of CsBiBr2. It was derived from DFT lattice parameters and positions (GGA-PBE), using Cu Ka.
Lines closer than 0.1° are merged.

Main lines, in order of rising 2θ (2θ from 15° to 90°):
index  2θ (°)  I/Imax
0 1 -1  16.50  80
0 1 2  18.93  54
1 2 1  25.15  100
-1 1 1  25.36  48
1 -1 1  26.13  41
1 2 0  26.90  45
0 0 3  29.71  44
-1 2 1  31.04  46
1 0 3  33.84  44
2 1 1  39.57  42

Cell lengths 4.5679, 9.2409, 9.7350 Å; angles 69.07, 79.51, 79.11 degrees
Space group P1 (No. 1)
Inequivalent atoms, fractional coordinates:
Cs (0.0000, 0.0000, 0.0000) x1
Cs (0.2115, 0.6218, 0.8115) x1
Bi (0.1859, 0.2431, 0.4497) x1
Bi (0.6141, 0.4882, 0.4072) x1
Br (0.3495, 0.2219, 0.1639) x1
Br (0.5899, 0.6531, 0.1029) x1
Br (0.6218, 0.9537, 0.7046) x1
Br (0.8518, 0.3591, 0.7085) x1

---

# 2
The following is a simulated powder diffraction line list of CuRePb2. It was derived from DFT lattice parameters and positions (GGA-PBE), using Cu Ka.
Lines closer than 0.1° are merged.

Main lines, in order of rising 2θ (2θ from 15° to 90°):
index  2θ (°)  I/Imax
1 0 2  26.80  19
1 1 1  33.43  100
0 0 4  34.35  19
0 1 3  35.79  45
1 0 4  40.37  34
1 1 3  41.63  40
2 0 0  41.85  30
0 2 0  50.43  19
2 1 3  56.22  25
2 2 0  67.54  18

Cell lengths 4.3169, 3.6197, 10.4430 Å; angles 90.00, 90.00, 90.00 degrees
Space group Amm2 (No. 38)
Inequivalent atoms, fractional coordinates:
Cu (0.0000, 0.0000, 0.0000) x2
Re (0.5000, 0.0000, 0.8587) x2
Pb (0.0000, 0.0000, 0.2786) x2
Pb (0.5000, 0.0000, 0.5756) x2

---

# 3
The following is a simulated powder diffraction line list of CeHo2Ge4. It was derived from DFT lattice parameters and positions (GGA-PBE), using Cu Ka.
Lines closer than 0.1° are merged.

Main lines, in order of rising 2θ (2θ from 15° to 90°):
index  2θ (°)  I/Imax
1 0 3  26.52  20
0 0 6  29.36  22
1 1 2  32.07  100
0 1 5  32.26  38
1 1 4  36.43  19
1 0 7  41.23  19
0 2 0  42.34  26
1 1 6  42.84  27
2 0 0  44.95  22
1 1 8  50.68  18

Cell lengths 4.0329, 4.2692, 18.2527 Å; angles 90.00, 90.00, 90.00 degrees
Space group Immm (No. 71)
Inequivalent atoms, fractional coordinates:
Ce (0.0000, 0.0000, 0.0000) x2
Ho (0.0000, 0.5000, 0.3180) x4
Ge (0.0000, 0.0000, 0.4326) x4
Ge (0.0000, 0.5000, 0.1587) x4

---

# 4
The following is a simulated powder diffraction line list of La5PrSmDy2. It was derived from DFT lattice parameters and positions (GGA-PBE), using Cu Ka.
Lines closer than 0.1° are merged.

Main lines, in order of rising 2θ (2θ from 15° to 90°):
index  2θ (°)  I/Imax
2 1 1  26.15  21
2 0 2  28.29  100
2 1 2  30.41  63
2 2 0  31.24  33
3 1 0  35.04  14
0 0 4  35.69  30
2 2 4  48.15  19
4 1 2  49.84  15
4 2 2  53.81  16
2 0 6  59.70  18

Cell lengths 8.0973, 8.0973, 10.0631 Å; angles 90.00, 90.00, 90.00 degrees
Space group P4/mbm (No. 127)
Inequivalent atoms, fractional coordinates:
La (0.0000, 0.0000, 0.0000) x2
La (0.2014, 0.2986, 0.2608) x8
Pr (0.0000, 0.0000, 0.5000) x2
Sm (0.0000, 0.5000, 0.5000) x2
Dy (0.1291, 0.6291, 0.0000) x4

---

# 5
The following is a simulated powder diffraction line list of Co6IrRh12. It was derived from DFT lattice parameters and positions (GGA-PBE), using Cu Ka.
Lines closer than 0.1° are merged.

Main lines, in order of rising 2θ (2θ from 15° to 90°):
index  2θ (°)  I/Imax
2 1 1  31.61  44
0 1 5  41.58  71
0 3 3  42.47  61
1 3 1  42.91  100
3 -1 4  44.57  79
4 -1 2  45.21  60
2 2 3  47.31  28
1 2 8  74.52  15
1 4 6  75.61  15
5 2 3  81.87  15

Cell lengths 8.9307, 8.9307, 11.3161 Å; angles 90.00, 90.00, 120.00 degrees
Space group R-3 (No. 148, hexagonal axes)
Inequivalent atoms, fractional coordinates:
Co (0.0234, 0.4382, 0.1984) x18
Ir (0.0000, 0.0000, 0.5000) x3
Rh (0.0269, 0.1875, 0.3129) x18
Rh (0.0639, 0.8507, 0.9124) x18

---

# 6
The following is a simulated powder diffraction line list of Ac4TlTe2Ru. It was derived from DFT lattice parameters and positions (GGA-PBE), using Cu Ka.
Lines closer than 0.1° are merged.

Main lines, in order of rising 2θ (2θ from 15° to 90°):
index  2θ (°)  I/Imax
2 0 -2  26.74  45
1 1 1  26.90  100
2 0 2  36.84  19
1 1 -3  37.70  35
3 1 -1  38.88  33
0 2 0  39.91  19
0 0 4  45.08  9
2 2 -2  48.70  18
2 2 2  55.44  12
1 3 1  64.79  9

Cell lengths 8.0954, 4.5175, 8.4406 Å; angles 90.00, 107.62, 90.00 degrees
Space group P2/m (No. 10)
Inequivalent atoms, fractional coordinates:
Ac (0.2211, 0.0000, 0.2770) x2
Ac (0.2231, 0.5000, 0.7167) x2
Tl (0.5000, 0.5000, 0.5000) x1
Te (0.0000, 0.5000, 0.0000) x1
Te (0.5000, 0.0000, 0.0000) x1
Ru (0.0000, 0.0000, 0.5000) x1

---

# 7
The following is a simulated powder diffraction line list of Ag6TeSe3. It was derived from DFT lattice parameters and positions (GGA-PBE), using Cu Ka.
Lines closer than 0.1° are merged.

Main lines, in order of rising 2θ (2θ from 15° to 90°):
index  2θ (°)  I/Imax
1 0 2  26.91  59
1 0 -4  29.47  58
2 1 -2  30.40  71
1 2 0  30.72  63
1 1 -4  32.42  76
2 2 -2  38.46  94
2 0 2  40.95  93
0 2 4  42.93  100
1 3 0  43.33  42
3 1 -2  43.61  50

Cell lengths 6.5808, 6.7007, 12.1254 Å; angles 90.00, 116.63, 90.00 degrees
Space group P2_1/c (No. 14)
Inequivalent atoms, fractional coordinates:
Ag (0.0527, 0.1415, 0.4188) x4
Ag (0.1684, 0.7147, 0.3703) x4
Ag (0.3097, 0.0539, 0.2403) x4
Te (0.5000, 0.0000, 0.5000) x2
Se (0.0000, 0.0000, 0.0000) x2
Se (0.2934, 0.0445, 0.7495) x4

---

# 8
The following is a simulated powder diffraction line list of RbBa. It was derived from DFT lattice parameters and positions (GGA-PBE), using Cu Ka.
Lines closer than 0.1° are merged.

Main lines, in order of rising 2θ (2θ from 15° to 90°):
index  2θ (°)  I/Imax
0 0 4  22.22  91
1 1 0  22.45  32
0 1 2  24.02  100
0 1 -2  25.66  83
1 1 3  25.80  40
0 1 3  26.71  29
1 2 1  38.80  34
0 1 -6  42.19  26
-1 1 4  45.19  24
1 2 5  45.33  29

Cell lengths 4.6274, 4.6416, 16.2117 Å; angles 82.11, 82.04, 60.12 degrees
Space group P-1 (No. 2)
Inequivalent atoms, fractional coordinates:
Rb (0.2124, 0.2085, 0.3643) x2
Ba (0.3723, 0.3662, 0.8875) x2